For SrMnBrCl4, a DFT-relaxed cell (GGA-PBE, Alexandria) gives the calculated powder diffraction line list in this record (Cu Kα X-rays).

Structural model:
```
data_SrMnBrCl4
_chemical_formula_sum 'Sr4 Mn4 Br4 Cl16'
_symmetry_space_group_name_H-M 'C 1 2/m 1'
_symmetry_Int_Tables_number 12
_symmetry_space_group_name_Hall '-C 2y'
_cell_length_a 13.834
_cell_length_b 9.035
_cell_length_c 8.733
_cell_angle_alpha 90.00
_cell_angle_beta 105.33
_cell_angle_gamma 90.00
loop_
_atom_site_label
_atom_site_type_symbol
_atom_site_fract_x
_atom_site_fract_y
_atom_site_fract_z
Sr1 Sr 0.220 0.000 0.371
Mn1 Mn 0.161 0.000 0.811
Br1 Br 0.037 0.500 0.396
Cl1 Cl 0.012 0.000 0.224
Cl2 Cl 0.206 0.190 0.649
Cl3 Cl 0.233 0.500 0.935
```

Main lines, sorted by position (2θ from 10° to 80°):
2θ/deg  I_rel  h k l
10.5  77.2  0 0 1
13.3  39.1  2 0 0
14.6  29.3  1 1 -1
19.7  100.0  0 2 0
22.3  49.0  3 1 0
22.6  39.8  1 1 -2
26.9  56.2  3 1 1
29.5  32.5  2 2 -2
34.4  34.8  3 1 -3
45.5  29.0  6 2 -2